1.
Diffraction record for K6Na10Tl. The powder X-ray diffraction pattern is computed, not measured: it uses a DFT-relaxed cell (PBE, Alexandria) and λ = 1.5418 Å (Cu Kα).

Crystal structure
a = 11.3357 Å, b = 11.3357 Å, c = 7.3432 Å
α = 90.00°, β = 90.00°, γ = 120.00°
Positions (direct):
K1 0.0000 0.3850 0.2287
K2 0.0000 0.6150 0.7713
K3 0.3850 0.0000 0.2287
K4 0.3850 0.3850 0.7713
K5 0.6150 0.0000 0.7713
K6 0.6150 0.6150 0.2287
Na1 0.0000 0.2172 0.7143
Na2 0.0000 0.7828 0.2857
Na3 0.2172 0.0000 0.7143
Na4 0.2172 0.2172 0.2857
Na5 0.3333 0.6667 0.0000
Na6 0.3333 0.6667 0.5000
Na7 0.6667 0.3333 0.0000
Na8 0.6667 0.3333 0.5000
Na9 0.7828 0.0000 0.2857
Na10 0.7828 0.7828 0.7143
Tl1 0.0000 0.0000 0.0000

Main lines, by angle (2θ from 10° to 90°):
d (Å)  intensity
5.880  70
4.487  61
4.081  48
3.312  100
3.272  62
3.082  93

***

2.
Diffraction record for KNa2Tl9. The powder X-ray diffraction pattern is computed, not measured: it uses a DFT-relaxed cell (PBE, Alexandria) and λ = 1.5418 Å (Cu Kα).

Crystal structure
a = 11.0656 Å, b = 11.0656 Å, c = 3.4999 Å
α = 90.00°, β = 90.00°, γ = 120.00°
Positions (direct):
K1 0.0000 0.0000 0.0000
Na1 0.3333 0.6667 0.0000
Na2 0.6667 0.3333 0.0000
Tl1 0.0000 0.5000 0.0000
Tl2 0.1772 0.3544 0.5000
Tl3 0.1772 0.8228 0.5000
Tl4 0.3544 0.1772 0.5000
Tl5 0.5000 0.0000 0.0000
Tl6 0.5000 0.5000 0.0000
Tl7 0.6456 0.8228 0.5000
Tl8 0.8228 0.1772 0.5000
Tl9 0.8228 0.6456 0.5000

Main lines, by angle (2θ from 10° to 90°):
d (Å)  intensity
5.533  39
2.826  92
2.766  100
1.977  31
1.608  32
1.479  30

***

3.
Diffraction record for K12Na2Tl. The powder X-ray diffraction pattern is computed, not measured: it uses a DFT-relaxed cell (PBE, Alexandria) and λ = 1.5418 Å (Cu Kα).

Crystal structure
a = 8.2415 Å, b = 8.2415 Å, c = 30.2293 Å
α = 90.00°, β = 90.00°, γ = 90.00°
Positions (direct):
K1 0.0000 0.0000 0.0727
K2 0.0000 0.0000 0.9273
K3 0.0000 0.5000 0.0727
K4 0.0000 0.5000 0.9273
K5 0.0705 0.5705 0.4326
K6 0.0705 0.9295 0.5674
K7 0.2500 0.2500 0.1920
K8 0.2500 0.2500 0.3230
K9 0.2500 0.2500 0.6770
K10 0.2500 0.2500 0.8080
K11 0.4295 0.5705 0.5674
K12 0.4295 0.9295 0.4326
K13 0.5000 0.0000 0.0727
K14 0.5000 0.0000 0.9273
K15 0.5000 0.5000 0.0727
K16 0.5000 0.5000 0.9273
K17 0.5705 0.0705 0.5674
K18 0.5705 0.4295 0.4326
K19 0.7500 0.7500 0.1920
K20 0.7500 0.7500 0.3230
K21 0.7500 0.7500 0.6770
K22 0.7500 0.7500 0.8080
K23 0.9295 0.0705 0.4326
K24 0.9295 0.4295 0.5674
Na1 0.2500 0.7500 0.2631
Na2 0.2500 0.7500 0.7369
Na3 0.7500 0.2500 0.2631
Na4 0.7500 0.2500 0.7369
Tl1 0.2500 0.7500 0.0000
Tl2 0.7500 0.2500 0.0000

Main lines, by angle (2θ from 10° to 90°):
d (Å)  intensity
5.437  100
4.615  54
3.468  50
3.190  92
2.914  60
2.146  46

***

4.
Diffraction record for K2Na7Tl. The powder X-ray diffraction pattern is computed, not measured: it uses a DFT-relaxed cell (PBE, Alexandria) and λ = 1.5418 Å (Cu Kα).

Crystal structure
a = 5.1090 Å, b = 5.1090 Å, c = 16.3436 Å
α = 90.00°, β = 90.00°, γ = 90.00°
Positions (direct):
K1 0.0000 0.5000 0.2255
K2 0.5000 0.0000 0.7745
Na1 0.0000 0.0000 0.0000
Na2 0.0000 0.0000 0.5000
Na3 0.0000 0.5000 0.6547
Na4 0.0000 0.5000 0.8696
Na5 0.5000 0.0000 0.1304
Na6 0.5000 0.0000 0.3453
Na7 0.5000 0.5000 0.5000
Tl1 0.5000 0.5000 0.0000

Main lines, by angle (2θ from 10° to 90°):
d (Å)  intensity
8.172  40
4.876  54
4.332  42
3.727  42
3.304  100
2.554  37

***

5.
Diffraction record for KNa3Tl3. The powder X-ray diffraction pattern is computed, not measured: it uses a DFT-relaxed cell (PBE, Alexandria) and λ = 1.5418 Å (Cu Kα).

Crystal structure
a = 8.1259 Å, b = 8.1259 Å, c = 8.1259 Å
α = 70.03°, β = 70.03°, γ = 70.03°
Positions (direct):
K1 0.2432 0.2432 0.2432
K2 0.7568 0.7568 0.7568
Na1 0.1762 0.4530 0.6410
Na2 0.3590 0.8238 0.5470
Na3 0.4530 0.6410 0.1762
Na4 0.5470 0.3590 0.8238
Na5 0.6410 0.1762 0.4530
Na6 0.8238 0.5470 0.3590
Tl1 0.0451 0.8805 0.3029
Tl2 0.1195 0.6971 0.9549
Tl3 0.3029 0.0451 0.8805
Tl4 0.6971 0.9549 0.1195
Tl5 0.8805 0.3029 0.0451
Tl6 0.9549 0.1195 0.6971

Main lines, by angle (2θ from 10° to 90°):
d (Å)  intensity
7.386  100
3.701  38
3.043  34
2.895  92
2.537  67
1.525  23

***

6.
Diffraction record for K2Na5Tl3. The powder X-ray diffraction pattern is computed, not measured: it uses a DFT-relaxed cell (PBE, Alexandria) and λ = 1.5418 Å (Cu Kα).

Crystal structure
a = 10.2623 Å, b = 10.2623 Å, c = 7.0199 Å
α = 95.28°, β = 95.28°, γ = 101.81°
Positions (direct):
K1 0.1061 0.6636 0.9133
K2 0.3364 0.8939 0.5867
K3 0.6636 0.1061 0.4133
K4 0.8939 0.3364 0.0867
Na1 0.0048 0.9952 0.7500
Na2 0.2305 0.5378 0.4153
Na3 0.2430 0.3153 0.9624
Na4 0.3153 0.2430 0.4624
Na5 0.4622 0.7695 0.0847
Na6 0.5378 0.2305 0.9153
Na7 0.6847 0.7570 0.5376
Na8 0.7570 0.6847 0.0376
Na9 0.7695 0.4622 0.5847
Na10 0.9952 0.0048 0.2500
Tl1 0.0225 0.2993 0.5879
Tl2 0.2993 0.0225 0.0879
Tl3 0.4784 0.5216 0.7500
Tl4 0.5216 0.4784 0.2500
Tl5 0.7007 0.9775 0.9121
Tl6 0.9775 0.7007 0.4121

Main lines, by angle (2θ from 10° to 90°):
d (Å)  intensity
5.419  52
4.905  99
4.122  100
3.402  52
2.880  86
2.788  85